This entry pairs a crystal structure of Ga2H4Br3 with its simulated X-ray powder pattern. Radiation: copper Kα. Structure: a DFT-relaxed cell (GGA-PBE, Alexandria).

Structural model:
```
Ga2H4Br3
1.0
5.980 -2.664 0.000
5.980 2.664 0.000
-2.649 0.000 6.374
Ga H Br
2 4 3
Direct
0.219 0.219 0.273
0.781 0.781 0.727
0.011 0.011 0.559
0.322 0.322 0.183
0.678 0.678 0.817
0.989 0.989 0.441
0.000 0.000 0.000
0.325 0.325 0.680
0.675 0.675 0.320
```

Top 10 peaks for 2θ = 5–70°, in order of rising 2θ:
| 2θ (°) | I/Imax |
| --- | --- |
| 16.05 | 25 |
| 16.73 | 100 |
| 21.24 | 16 |
| 29.49 | 15 |
| 33.64 | 29 |
| 37.61 | 21 |
| 37.79 | 26 |
| 41.40 | 18 |
| 43.63 | 17 |
| 51.35 | 18 |